# 1
For LiTm2Si3Pt4, a structure optimized by DFT (PBE) gives the theoretical powder XRD pattern in this record (Cu Kα).
Kinematic intensities with the Lorentz-polarization factor, no thermal factor.

Principal peaks in the range 10° ≤ 2θ ≤ 90°, low angle first:
- 2θ = 26.8°, intensity 328, hkl 0 0 3
- 2θ = 28.0°, intensity 276, hkl 1 0 2
- 2θ = 31.9°, intensity 715, hkl 1 1 1
- 2θ = 34.6°, intensity 624, hkl 1 0 3
- 2θ = 35.6°, intensity 1000, hkl 1 1 2
- 2θ = 43.8°, intensity 639, hkl 2 0 0
- 2θ = 50.8°, intensity 291, hkl 1 0 5
- 2θ = 57.0°, intensity 301, hkl 2 1 3
- 2θ = 69.3°, intensity 231, hkl 2 1 5
- 2θ = 75.2°, intensity 233, hkl 3 1 2

Structure:
Unit cell a=4.132 b=4.132 c=9.987 alpha=90.00 beta=90.00 gamma=90.00
Space group P-4m2 (No. 115)
One atom of each set of equivalent atoms:
Li 0.000 0.000 0.000 (multiplicity 1)
Tm 0.000 0.500 0.754 (multiplicity 2)
Si 0.000 0.500 0.364 (multiplicity 2)
Si 0.500 0.500 0.000 (multiplicity 1)
Pt 0.000 0.000 0.500 (multiplicity 1)
Pt 0.000 0.500 0.132 (multiplicity 2)
Pt 0.500 0.500 0.500 (multiplicity 1)

# 2
For LiSmPt3, a structure optimized by DFT (PBE) gives the theoretical powder XRD pattern in this record (Cu Kα).
Kinematic intensities with the Lorentz-polarization factor, no thermal factor.

Principal peaks in the range 10° ≤ 2θ ≤ 90°, low angle first:
- 2θ = 19.9°, intensity 1000, hkl 0 0 2
- 2θ = 31.2°, intensity 452, hkl 0 2 2
- 2θ = 34.3°, intensity 419, hkl 1 0 3
- 2θ = 36.2°, intensity 675, hkl 2 1 1
- 2θ = 37.5°, intensity 842, hkl 0 3 1
- 2θ = 38.4°, intensity 483, hkl 2 0 2
- 2θ = 40.5°, intensity 363, hkl 0 0 4
- 2θ = 40.7°, intensity 975, hkl 2 2 0
- 2θ = 42.2°, intensity 507, hkl 1 2 3
- 2θ = 58.7°, intensity 313, hkl 2 2 4

Structure:
Unit cell a=5.506 b=7.480 c=8.917 alpha=90.00 beta=90.00 gamma=90.00
Space group Imma (No. 74)
One atom of each set of equivalent atoms:
Li 0.000 0.000 0.000 (multiplicity 4)
Sm 0.000 0.250 0.498 (multiplicity 4)
Pt 0.000 0.250 0.814 (multiplicity 4)
Pt 0.250 0.058 0.250 (multiplicity 8)

# 3
For Li2SmPt9, a structure optimized by DFT (PBE) gives the theoretical powder XRD pattern in this record (Cu Kα).
Kinematic intensities with the Lorentz-polarization factor, no thermal factor.

Principal peaks in the range 10° ≤ 2θ ≤ 90°, low angle first:
- 2θ = 10.1°, intensity 214, hkl 0 0 3
- 2θ = 19.5°, intensity 595, hkl 1 0 1
- 2θ = 39.2°, intensity 201, hkl 0 2 1
- 2θ = 39.6°, intensity 1000, hkl 1 1 6
- 2θ = 41.2°, intensity 347, hkl 0 0 12
- 2θ = 42.8°, intensity 447, hkl 2 0 5
- 2θ = 46.2°, intensity 322, hkl 0 2 7
- 2θ = 64.2°, intensity 208, hkl 0 3 6
- 2θ = 70.7°, intensity 223, hkl 2 2 0
- 2θ = 85.3°, intensity 269, hkl 2 2 12

Structure:
Unit cell a=5.3282 b=5.3282 c=26.2786 alpha=90.00 beta=90.00 gamma=120.00
Space group R-3m (No. 166, hexagonal axes)
One atom of each set of equivalent atoms:
Li 0.0000 0.0000 0.1465 (multiplicity 6)
Sm 0.0000 0.0000 0.0000 (multiplicity 3)
Pt 0.0000 0.0000 0.3330 (multiplicity 6)
Pt 0.0000 0.0000 0.5000 (multiplicity 3)
Pt 0.0038 0.5019 0.9140 (multiplicity 18)